Diffraction record for TbTm2Pt4. The XRD peak list is calculated, not measured: it uses DFT lattice parameters and positions (GGA-PBE) and a wavelength of 1.5418 Å.
Lines closer than 0.1° are merged.

Crystal structure
```
data_TbTm2Pt4
_chemical_formula_sum 'Tb4 Tm8 Pt16'
_symmetry_space_group_name_H-M 'C m c m'
_symmetry_Int_Tables_number 63
_symmetry_space_group_name_Hall '-C 2c 2'
_cell_length_a 5.0375
_cell_length_b 7.9352
_cell_length_c 14.4529
_cell_angle_alpha 90.00
_cell_angle_beta 90.00
_cell_angle_gamma 90.00
loop_
_atom_site_label
_atom_site_type_symbol
_atom_site_fract_x
_atom_site_fract_y
_atom_site_fract_z
Tb1 Tb 0.0000 0.0290 0.2500
Tm1 Tm 0.0000 0.3362 0.0664
Pt1 Pt 0.0000 0.0000 0.0000
Pt2 Pt 0.0000 0.3040 0.6365
Pt3 Pt 0.0000 0.3909 0.2500
```

Principal peaks in the range 15 to 90 degrees two-theta, sorted by position:
| two_theta | I_rel |
| --- | --- |
| 32.5 | 23 |
| 33.5 | 43 |
| 35.6 | 64 |
| 37.6 | 74 |
| 38.5 | 100 |
| 39.0 | 21 |
| 49.8 | 29 |
| 53.5 | 19 |
| 65.9 | 16 |
| 67.0 | 19 |